[1]
For ThNbFeSi2, a DFT-relaxed cell (PBE, Alexandria) gives the theoretical X-ray diffraction stick pattern in this record (a wavelength of 1.5418 Å).
Lines closer than 0.1° are merged.

Cell and atoms:
Cell lengths 4.0444, 4.0444, 11.1700 Å; angles 90.00, 90.00, 90.00 degrees
Sites, in units of the cell vectors:
Th  0.0000  0.0000  0.0000
Th  0.5000  0.5000  0.5000
Nb  0.0000  0.5000  0.7500
Nb  0.5000  0.0000  0.2500
Fe  0.0000  0.5000  0.2500
Fe  0.5000  0.0000  0.7500
Si  0.0000  0.0000  0.3883
Si  0.0000  0.0000  0.6117
Si  0.5000  0.5000  0.1117
Si  0.5000  0.5000  0.8883

Peak list (10 most intense, 2θ from 15° to 90°, low angle first)
(1 0 1), 2θ 23.4, intensity 61
(0 0 4), 2θ 32.1, intensity 22
(1 0 3), 2θ 32.7, intensity 53
(1 1 2), 2θ 35.3, intensity 100
(2 0 0), 2θ 44.8, intensity 32
(1 0 5), 2θ 46.4, intensity 24
(2 0 4), 2θ 56.2, intensity 18
(2 1 3), 2θ 56.6, intensity 23
(1 1 6), 2θ 59.2, intensity 18
(3 1 2), 2θ 76.4, intensity 21



[2]
For Bi, a DFT-relaxed cell (PBE, Alexandria) gives the theoretical X-ray diffraction stick pattern in this record (a wavelength of 1.5418 Å).
Lines closer than 0.1° are merged.

Cell and atoms:
Cell lengths 3.9834, 3.9834, 3.9834 Å; angles 90.00, 90.00, 90.00 degrees
Sites, in units of the cell vectors:
Bi  0.0000  0.0000  0.0000
Bi  0.5000  0.5000  0.5000

Peak list (6 most intense, 2θ from 15° to 90°, low angle first)
(1 1 0), 2θ 31.8, intensity 100
(2 0 0), 2θ 45.5, intensity 19
(2 1 1), 2θ 56.6, intensity 40
(2 2 0), 2θ 66.4, intensity 13
(3 1 0), 2θ 75.5, intensity 18
(2 2 2), 2θ 84.2, intensity 5



[3]
For SmHfSc, a DFT-relaxed cell (PBE, Alexandria) gives the theoretical X-ray diffraction stick pattern in this record (a wavelength of 1.5418 Å).
Lines closer than 0.1° are merged.

Cell and atoms:
Cell lengths 3.3414, 4.5695, 10.2532 Å; angles 90.00, 90.34, 90.00 degrees
Sites, in units of the cell vectors:
Sm  0.2499  0.2500  0.0990
Sm  0.7501  0.7500  0.9010
Hf  0.2495  0.2500  0.4264
Hf  0.7505  0.7500  0.5736
Sc  0.2496  0.2500  0.7230
Sc  0.7504  0.7500  0.2770

Peak list (10 most intense, 2θ from 15° to 90°, low angle first)
(0 0 2), 2θ 17.3, intensity 21
(0 1 1), 2θ 21.3, intensity 32
(1 0 1), 2θ 28.1, intensity 16
(0 1 3), 2θ 32.7, intensity 96
(1 1 0), 2θ 33.2, intensity 100
(1 0 -3), 2θ 37.5, intensity 40
(1 0 3), 2θ 37.8, intensity 39
(0 2 0), 2θ 39.4, intensity 31
(1 2 -3), 2θ 55.6, intensity 21
(1 2 3), 2θ 55.7, intensity 21



[4]
For LaPmCo5, a DFT-relaxed cell (PBE, Alexandria) gives the theoretical X-ray diffraction stick pattern in this record (a wavelength of 1.5418 Å).
Lines closer than 0.1° are merged.

Cell and atoms:
Cell lengths 8.6916, 4.9154, 10.8052 Å; angles 90.00, 90.00, 90.00 degrees
Sites, in units of the cell vectors:
La  0.1269  0.2500  0.1146
La  0.3731  0.7500  0.6146
La  0.6269  0.2500  0.3854
La  0.8731  0.7500  0.8854
Pm  0.2389  0.2500  0.4212
Pm  0.2611  0.7500  0.9212
Pm  0.7389  0.2500  0.0788
Pm  0.7611  0.7500  0.5788
Co  0.0517  0.7500  0.4832
Co  0.0551  0.2500  0.8638
Co  0.0741  0.5017  0.6792
Co  0.0741  0.9983  0.6792
Co  0.1831  0.7500  0.2698
Co  0.3169  0.2500  0.7698
Co  0.4259  0.0017  0.1792
Co  0.4259  0.4983  0.1792
Co  0.4449  0.7500  0.3638
Co  0.4483  0.2500  0.9832
Co  0.5517  0.7500  0.0168
Co  0.5551  0.2500  0.6362
Co  0.5741  0.5017  0.8208
Co  0.5741  0.9983  0.8208
Co  0.6831  0.7500  0.2302
Co  0.8169  0.2500  0.7302
Co  0.9259  0.0017  0.3208
Co  0.9259  0.4983  0.3208
Co  0.9449  0.7500  0.1362
Co  0.9483  0.2500  0.5168

Peak list (10 most intense, 2θ from 15° to 90°, low angle first)
(0 1 3), 2θ 30.8, intensity 72
(3 0 2), 2θ 35.1, intensity 45
(0 2 0), 2θ 36.6, intensity 39
(3 1 1), 2θ 37.0, intensity 100
(2 1 3), 2θ 37.2, intensity 65
(4 0 1), 2θ 42.4, intensity 23
(1 0 5), 2θ 43.1, intensity 62
(2 1 4), 2θ 43.5, intensity 51
(1 2 3), 2θ 45.9, intensity 45
(5 2 2), 2θ 68.3, intensity 25



[5]
For SrAcPmSn, a DFT-relaxed cell (PBE, Alexandria) gives the theoretical X-ray diffraction stick pattern in this record (a wavelength of 1.5418 Å).
Lines closer than 0.1° are merged.

Cell and atoms:
Cell lengths 8.2397, 8.2397, 8.2397 Å; angles 90.00, 90.00, 90.00 degrees
Sites, in units of the cell vectors:
Sr  0.0000  0.0000  0.0000
Sr  0.0000  0.5000  0.5000
Sr  0.5000  0.0000  0.5000
Sr  0.5000  0.5000  0.0000
Ac  0.2500  0.2500  0.2500
Ac  0.2500  0.7500  0.7500
Ac  0.7500  0.2500  0.7500
Ac  0.7500  0.7500  0.2500
Pm  0.0000  0.0000  0.5000
Pm  0.0000  0.5000  0.0000
Pm  0.5000  0.0000  0.0000
Pm  0.5000  0.5000  0.5000
Sn  0.2500  0.2500  0.7500
Sn  0.2500  0.7500  0.2500
Sn  0.7500  0.2500  0.2500
Sn  0.7500  0.7500  0.7500

Peak list (10 most intense, 2θ from 15° to 90°, low angle first)
(1 1 1), 2θ 18.7, intensity 9
(2 0 0), 2θ 21.6, intensity 4
(2 2 0), 2θ 30.7, intensity 100
(3 1 1), 2θ 36.2, intensity 5
(4 0 0), 2θ 44.0, intensity 19
(4 2 2), 2θ 54.6, intensity 40
(4 4 0), 2θ 63.9, intensity 13
(6 2 0), 2θ 72.6, intensity 18
(4 4 4), 2θ 80.8, intensity 4
(6 4 2), 2θ 88.9, intensity 22



[6]
For In6HgSe4, a DFT-relaxed cell (PBE, Alexandria) gives the theoretical X-ray diffraction stick pattern in this record (a wavelength of 1.5418 Å).
Lines closer than 0.1° are merged.

Cell and atoms:
Cell lengths 5.9103, 5.9114, 9.5553 Å; angles 107.92, 107.58, 90.77 degrees
Sites, in units of the cell vectors:
In  0.0000  0.0000  0.0000
In  0.0113  0.2661  0.6638
In  0.1604  0.6709  0.3263
In  0.3991  0.6519  0.6638
In  0.4976  0.4600  0.9577
In  0.6552  0.1656  0.3261
Hg  0.8845  0.7662  0.6492
Se  0.1710  0.1598  0.3310
Se  0.4934  0.9954  0.9873
Se  0.6474  0.6454  0.2930
Se  0.9920  0.4940  0.9874

Peak list (10 most intense, 2θ from 15° to 90°, low angle first)
(1 0 0), 2θ 15.9, intensity 24
(0 1 1), 2θ 21.6, intensity 18
(0 2 -1), 2θ 30.2, intensity 100
(0 0 3), 2θ 31.2, intensity 66
(2 0 0), 2θ 32.0, intensity 26
(2 2 -2), 2θ 43.6, intensity 19
(0 2 -4), 2θ 43.9, intensity 32
(0 2 2), 2θ 44.1, intensity 34
(2 2 1), 2θ 54.6, intensity 18
(2 4 -3), 2θ 71.8, intensity 15